The following is a simulated powder XRD pattern of Na3TiCl6. It was derived from DFT lattice parameters and positions (GGA-PBE), using Cu Kα, 1.54184 Å.

Atomic structure:
```
data_Na3TiCl6
_chemical_formula_sum 'Na6 Ti2 Cl12'
_cell_length_a 6.761
_cell_length_b 7.123
_cell_length_c 11.996
_cell_angle_alpha 90.00
_cell_angle_beta 124.17
_cell_angle_gamma 90.00
_space_group_name_H-M_alt 'P 1 21/c 1'
_space_group_IT_number 14
loop_
_space_group_symop_operation_xyz
'x,y,z'
'-x,-y,-z'
'-x,y+1/2,-z+1/2'
'x,-y+1/2,z+1/2'
loop_
_atom_site_label
_atom_site_type_symbol
_atom_site_fract_x
_atom_site_fract_y
_atom_site_fract_z
_atom_site_occupancy
Na1 Na 0.000 0.000 0.000 1
Na2 Na 0.220 0.081 0.744 1
Ti1 Ti 0.500 0.000 0.500 1
Cl1 Cl 0.141 0.177 0.437 1
Cl2 Cl 0.272 0.712 0.430 1
Cl3 Cl 0.399 0.049 0.270 1
```

Top 6 peaks for 5 to 70 degrees two-theta, by angle:
Position (°2θ), Rel. int.
29.2, 52.7
30.1, 100.0
30.6, 62.5
32.7, 49.8
36.7, 50.2
46.0, 73.4